Structure and calculated powder diffractogram of Ce5Y2O13 (the PBE geometry in Alexandria; Cu Ka).
Neutral-atom scattering factors, no anomalous dispersion.

Atomic structure:
```
data_Ce5Y2O13
_chemical_formula_sum 'Ce15 Y6 O39'
_space_group_name_H-M_alt 'R 3 m'
_space_group_IT_number 160
_space_group_name_Hall 'R 3 -2"'
_cell_length_a 3.8280
_cell_length_b 3.8280
_cell_length_c 66.9551
_cell_angle_alpha 90.00
_cell_angle_beta 90.00
_cell_angle_gamma 120.00
loop_
_atom_site_label
_atom_site_fract_x
_atom_site_fract_y
_atom_site_fract_z
Ce1 0.0000 0.0000 0.0000
Ce2 0.0000 0.0000 0.1429
Ce3 0.0000 0.0000 0.2859
Ce4 0.0000 0.0000 0.4286
Ce5 0.0000 0.0000 0.7143
Y1 0.0000 0.0000 0.5717
Y2 0.0000 0.0000 0.8546
O1 0.0000 0.0000 0.0348
O2 0.0000 0.0000 0.1063
O3 0.0000 0.0000 0.1778
O4 0.0000 0.0000 0.2443
O5 0.0000 0.0000 0.3204
O6 0.0000 0.0000 0.3920
O7 0.0000 0.0000 0.4635
O8 0.0000 0.0000 0.5399
O9 0.0000 0.0000 0.6067
O10 0.0000 0.0000 0.6777
O11 0.0000 0.0000 0.7491
O12 0.0000 0.0000 0.8205
O13 0.0000 0.0000 0.9636
```

Most intense lines, 2θ from 10° to 90°, low angle first:
- 28.0°, 3.188 Å, I 35
- 28.5°, 3.132 Å, I 100
- 32.9°, 2.725 Å, I 39
- 46.8°, 1.939 Å, I 36
- 47.5°, 1.914 Å, I 36
- 55.5°, 1.657 Å, I 15
- 56.0°, 1.641 Å, I 29
- 56.3°, 1.633 Å, I 15
- 76.7°, 1.242 Å, I 12
- 88.0°, 1.110 Å, I 11